No. 1
Computed X-ray powder pattern
Compound: Li5Mn2CoO8
Radiation: CuKα
Structure: a structure optimized by DFT (GGA+U)
Neutral-atom scattering factors, no anomalous dispersion.

Structural model:
Cell lengths 7.6725, 7.6725, 5.1130 Å; angles 103.44, 103.44, 96.73 degrees
Sites, in units of the cell vectors:
Li 0.0000 0.0000 0.0000
Li 0.9997 0.4997 0.5020
Li 0.1187 0.3797 0.0036
Li 0.2496 0.7504 0.0030
Li 0.3797 0.1187 0.0036
Li 0.4997 0.9997 0.5020
Li 0.5005 0.5005 0.0067
Li 0.6225 0.8773 0.0029
Li 0.7504 0.2496 0.0030
Li 0.8773 0.6225 0.0029
Mn 0.1263 0.8736 0.4974
Mn 0.3737 0.6262 0.5086
Mn 0.6262 0.3737 0.5086
Mn 0.8736 0.1263 0.4974
Co 0.2504 0.2504 0.5038
Co 0.7503 0.7503 0.5038
O 0.1163 0.1163 0.7275
O 0.1406 0.6396 0.2698
O 0.2423 0.9982 0.2771
O 0.2576 0.5013 0.7267
O 0.3592 0.8605 0.7354
O 0.3838 0.3838 0.2787
O 0.5013 0.2576 0.7267
O 0.5055 0.7407 0.2935
O 0.6110 0.6110 0.7405
O 0.6396 0.1406 0.2698
O 0.7407 0.5055 0.2935
O 0.7586 0.9941 0.7120
O 0.8605 0.3592 0.7354
O 0.8886 0.8886 0.2663
O 0.9941 0.7586 0.7120
O 0.9982 0.2423 0.2771

Top 12 peaks for 15° ≤ 2θ ≤ 90°, in order of falling intensity:
| 2theta | Rel. int. |
| --- | --- |
| 18.53 | 100 |
| 44.35 | 54 |
| 43.14 | 29 |
| 36.55 | 24 |
| 24.23 | 19 |
| 63.67 | 15 |
| 63.51 | 14 |
| 15.45 | 14 |
| 35.66 | 12 |
| 58.45 | 9 |
| 26.33 | 9 |
| 48.03 | 7 |

=====

No. 2
Computed X-ray powder pattern
Compound: Li7Mn2Co3O12
Radiation: CuKα
Structure: a structure optimized by DFT (GGA+U)
Neutral-atom scattering factors, no anomalous dispersion.

Structural model:
Cell lengths 5.9690, 2.9484, 12.5359 Å; angles 90.00, 103.19, 90.00 degrees
Sites, in units of the cell vectors:
Li 0.0000 0.0000 0.0000
Li 0.0134 0.5000 0.5123
Li 0.1709 0.5000 0.8335
Li 0.3271 0.0000 0.6675
Li 0.4997 0.5000 0.5144
Li 0.6844 0.0000 0.3515
Li 0.8324 0.5000 0.1669
Mn 0.1670 0.0000 0.3481
Mn 0.3355 0.5000 0.1713
Co 0.5053 0.0000 0.9989
Co 0.6629 0.5000 0.8358
Co 0.8435 0.0000 0.6656
O 0.0638 0.5000 0.6714
O 0.1132 0.0000 0.1783
O 0.2502 0.0000 0.4944
O 0.2635 0.5000 0.0182
O 0.3898 0.5000 0.3348
O 0.4286 0.0000 0.8359
O 0.5601 0.0000 0.1785
O 0.6030 0.5000 0.6780
O 0.7548 0.5000 0.9968
O 0.7594 0.0000 0.5226
O 0.9041 0.0000 0.8220
O 0.9477 0.5000 0.3373

Top 12 peaks for 15° ≤ 2θ ≤ 90°, in order of falling intensity:
| 2theta | Rel. int. |
| --- | --- |
| 18.34 | 100 |
| 43.13 | 61 |
| 35.76 | 29 |
| 44.54 | 26 |
| 63.48 | 15 |
| 63.99 | 14 |
| 36.53 | 12 |
| 15.28 | 10 |
| 56.87 | 10 |
| 63.06 | 8 |
| 47.95 | 8 |
| 62.21 | 8 |

=====

No. 3
Computed X-ray powder pattern
Compound: Li7Mn2Co3O12
Radiation: CuKα
Structure: a structure optimized by DFT (GGA+U)
Neutral-atom scattering factors, no anomalous dispersion.

Structural model:
Cell lengths 3.0261, 5.1014, 14.7673 Å; angles 95.57, 94.09, 103.90 degrees
Sites, in units of the cell vectors:
Li 0.0000 0.0000 0.0000
Li 0.0004 0.4928 0.5011
Li 0.3339 0.3252 0.3335
Li 0.3350 0.8186 0.8324
Li 0.6614 0.1621 0.1637
Li 0.6669 0.4088 0.9155
Li 0.6721 0.6582 0.6674
Mn 0.6726 0.9107 0.4180
Mn 0.9945 0.7414 0.2465
Co 0.0100 0.2510 0.7569
Co 0.3187 0.5690 0.0738
Co 0.3420 0.0774 0.5874
O 0.0134 0.8472 0.1250
O 0.3113 0.4688 0.1983
O 0.3157 0.9721 0.7060
O 0.3420 0.6987 0.9695
O 0.3643 0.1907 0.4649
O 0.6557 0.3118 0.0432
O 0.6741 0.5080 0.7880
O 0.6804 0.7992 0.5403
O 0.6923 0.0242 0.2945
O 0.9743 0.6301 0.3703
O 0.9893 0.3470 0.6336
O 0.9924 0.1198 0.8612

Top 12 peaks for 15° ≤ 2θ ≤ 90°, in order of falling intensity:
| 2theta | Rel. int. |
| --- | --- |
| 18.34 | 100 |
| 40.91 | 37 |
| 43.97 | 29 |
| 45.10 | 25 |
| 34.13 | 22 |
| 62.51 | 16 |
| 36.14 | 13 |
| 36.87 | 10 |
| 61.43 | 9 |
| 64.27 | 9 |
| 61.80 | 9 |
| 65.37 | 7 |

=====

No. 4
Computed X-ray powder pattern
Compound: Li7Mn2Co3O12
Radiation: CuKα
Structure: a structure optimized by DFT (GGA+U)
Neutral-atom scattering factors, no anomalous dispersion.

Structural model:
Cell lengths 6.5079, 6.5079, 12.0417 Å; angles 104.12, 104.12, 26.14 degrees
Sites, in units of the cell vectors:
Li 0.0000 0.0000 0.0000
Li 0.9998 0.9998 0.4826
Li 0.3334 0.3334 0.8361
Li 0.3390 0.3390 0.3067
Li 0.6611 0.6611 0.1469
Li 0.6657 0.6657 0.6671
Li 0.9967 0.9967 0.2371
Mn 0.3330 0.3330 0.5734
Mn 0.6603 0.6603 0.4022
Co 0.0060 0.0060 0.7465
Co 0.3441 0.3441 0.0878
Co 0.6756 0.6756 0.9151
O 0.1635 0.1635 0.7824
O 0.1685 0.1685 0.0243
O 0.1696 0.1696 0.3032
O 0.1756 0.1756 0.5216
O 0.4880 0.4880 0.6205
O 0.4910 0.4910 0.1124
O 0.5029 0.5029 0.8518
O 0.5143 0.5143 0.3739
O 0.8262 0.8262 0.9467
O 0.8292 0.8292 0.1952
O 0.8292 0.8292 0.4647
O 0.8311 0.8311 0.6792

Top 12 peaks for 15° ≤ 2θ ≤ 90°, in order of falling intensity:
| 2theta | Rel. int. |
| --- | --- |
| 18.18 | 100 |
| 42.98 | 59 |
| 35.75 | 26 |
| 44.28 | 26 |
| 63.08 | 15 |
| 63.74 | 14 |
| 36.34 | 12 |
| 56.52 | 12 |
| 47.76 | 8 |
| 80.39 | 8 |
| 61.62 | 8 |
| 63.18 | 8 |